1.
# InCu3
Simulated X-ray diffraction stick pattern, Cu Kα. Input: a DFT-relaxed cell (PBE, the Materials Project).
Lines closer than 0.1° are merged.

The 10 most intense peaks (2θ from 15° to 90°), sorted by position:
d [Å], 2θ/deg, intensity, (hkl)
3.217, 27.73, 10, 1 0 1
2.754, 32.51, 4, 1 1 0
2.385, 37.71, 25, 2 0 0
2.178, 41.47, 26, 0 0 2
2.092, 43.24, 100, 2 0 1
1.608, 57.29, 14, 2 0 2
1.377, 68.08, 15, 2 2 0
1.240, 76.87, 16, 2 0 3
1.164, 82.95, 17, 2 2 2
1.150, 84.16, 12, 4 0 1

```
data_InCu3
_chemical_formula_sum 'In2 Cu6'
_cell_length_a 5.5088
_cell_length_b 5.5088
_cell_length_c 4.3553
_cell_angle_alpha 90.00
_cell_angle_beta 90.00
_cell_angle_gamma 120.00
_symmetry_space_group_name_H-M 'P 63/m m c'
_symmetry_Int_Tables_number 194
_symmetry_space_group_name_Hall '-P 6c 2c'
loop_
_atom_site_label
_atom_site_fract_x
_atom_site_fract_y
_atom_site_fract_z
In1 0.3333 0.6667 0.2500
Cu1 0.1572 0.3144 0.7500
```

***

2.
# In3Cu
Simulated X-ray diffraction stick pattern, Cu Kα. Input: a DFT-relaxed cell (PBE, the Materials Project).
Lines closer than 0.1° are merged.

The 10 most intense peaks (2θ from 15° to 90°), sorted by position:
d [Å], 2θ/deg, intensity, (hkl)
4.483, 19.81, 4, 1 0 0
3.170, 28.15, 3, 1 1 0
2.588, 34.66, 100, 1 1 1
2.241, 40.24, 49, 2 0 0
2.005, 45.23, 2, 2 1 0
1.830, 49.83, 1, 2 1 1
1.585, 58.21, 32, 2 2 0
1.352, 69.55, 37, 3 1 1
1.294, 73.13, 11, 2 2 2
1.121, 86.93, 5, 4 0 0

```
data_In3Cu
_chemical_formula_sum 'In3 Cu1'
_cell_length_a 4.4828
_cell_length_b 4.4828
_cell_length_c 4.4828
_cell_angle_alpha 90.00
_cell_angle_beta 90.00
_cell_angle_gamma 90.00
_symmetry_space_group_name_H-M 'P m -3 m'
_symmetry_Int_Tables_number 221
_symmetry_space_group_name_Hall '-P 4 2 3'
loop_
_atom_site_label
_atom_site_fract_x
_atom_site_fract_y
_atom_site_fract_z
In1 0.0000 0.0000 0.5000
Cu1 0.5000 0.5000 0.5000
```

***

3.
# InCu4
Simulated X-ray diffraction stick pattern, Cu Kα. Input: a DFT-relaxed cell (PBE, the Materials Project).
Lines closer than 0.1° are merged.

The 10 most intense peaks (2θ from 15° to 90°), sorted by position:
d [Å], 2θ/deg, intensity, (hkl)
2.996, 29.82, 5, 1 1 1
2.599, 34.51, 14, 1 1 3
2.169, 41.63, 31, 0 2 0
2.158, 41.86, 30, 2 0 0
2.126, 42.52, 100, 1 1 5
1.530, 60.52, 19, 2 2 0
1.244, 76.60, 16, 1 3 5
1.240, 76.90, 16, 3 1 5
1.221, 78.28, 5, 0 2 10
1.219, 78.43, 5, 2 0 10

```
data_InCu4
_chemical_formula_sum 'In4 Cu16'
_cell_length_a 4.3162
_cell_length_b 4.3385
_cell_length_c 14.7788
_cell_angle_alpha 90.00
_cell_angle_beta 90.00
_cell_angle_gamma 90.00
_symmetry_space_group_name_H-M 'F m m m'
_symmetry_Int_Tables_number 69
_symmetry_space_group_name_Hall '-F 2 2'
loop_
_atom_site_label
_atom_site_fract_x
_atom_site_fract_y
_atom_site_fract_z
In1 0.0000 0.0000 0.0000
Cu1 0.0000 0.0000 0.2063
Cu2 0.0000 0.0000 0.3810
```

***

4.
# InCu
Simulated X-ray diffraction stick pattern, Cu Kα. Input: a DFT-relaxed cell (PBE, the Materials Project).
Lines closer than 0.1° are merged.

The 10 most intense peaks (2θ from 15° to 90°), sorted by position:
d [Å], 2θ/deg, intensity, (hkl)
2.948, 30.32, 100, 1 0 1
2.089, 43.32, 63, 1 1 0
2.080, 43.51, 58, 1 0 2
1.704, 53.79, 19, 2 0 1
1.535, 60.31, 13, 1 0 3
1.474, 63.08, 18, 2 0 2
1.321, 71.44, 16, 2 1 1
1.237, 77.12, 6, 2 0 3
1.206, 79.47, 10, 3 0 0
1.204, 79.61, 18, 2 1 2

```
data_InCu
_chemical_formula_sum 'In2 Cu2'
_cell_length_a 4.1776
_cell_length_b 4.1776
_cell_length_c 5.0840
_cell_angle_alpha 90.00
_cell_angle_beta 90.00
_cell_angle_gamma 120.00
_symmetry_space_group_name_H-M 'P 63/m m c'
_symmetry_Int_Tables_number 194
_symmetry_space_group_name_Hall '-P 6c 2c'
loop_
_atom_site_label
_atom_site_fract_x
_atom_site_fract_y
_atom_site_fract_z
In1 0.3333 0.6667 0.2500
Cu1 0.0000 0.0000 0.0000
```

***

5.
# LiIn2CuTe4
Simulated X-ray diffraction stick pattern, Cu Kα. Input: a DFT-relaxed cell (PBE, the Materials Project).
Lines closer than 0.1° are merged.

The 10 most intense peaks (2θ from 15° to 90°), sorted by position:
d [Å], 2θ/deg, intensity, (hkl)
5.703, 15.54, 8, 1 0 1
3.681, 24.18, 100, 1 1 2
2.784, 32.16, 8, 2 1 1
2.254, 40.00, 73, 2 0 4
1.922, 47.29, 46, 1 1 6
1.594, 57.86, 12, 0 0 8
1.463, 63.62, 18, 1 3 6
1.301, 72.66, 22, 2 2 8
1.227, 77.83, 9, 3 3 6
1.127, 86.32, 7, 4 0 8

```
data_LiIn2CuTe4
_chemical_formula_sum 'Li2 In4 Cu2 Te8'
_cell_length_a 6.3786
_cell_length_b 6.3786
_cell_length_c 12.7370
_cell_angle_alpha 90.00
_cell_angle_beta 90.00
_cell_angle_gamma 90.00
_symmetry_space_group_name_H-M 'I -4'
_symmetry_Int_Tables_number 82
_symmetry_space_group_name_Hall 'I -4'
loop_
_atom_site_label
_atom_site_fract_x
_atom_site_fract_y
_atom_site_fract_z
Li1 0.0000 0.0000 0.0000
In1 0.0000 0.0000 0.5000
In2 0.0000 0.5000 0.2500
Cu1 0.0000 0.5000 0.7500
Te1 0.2269 0.2592 0.8709
```

***

6.
# Lu2InCu2
Simulated X-ray diffraction stick pattern, Cu Kα. Input: a DFT-relaxed cell (PBE, the Materials Project).
Lines closer than 0.1° are merged.

The 10 most intense peaks (2θ from 15° to 90°), sorted by position:
d [Å], 2θ/deg, intensity, (hkl)
3.361, 26.52, 24, 2 1 0
2.657, 33.73, 14, 2 2 0
2.572, 34.88, 50, 2 0 1
2.434, 36.94, 100, 2 1 1
2.377, 37.85, 45, 3 1 0
1.823, 50.04, 16, 4 1 0
1.764, 51.83, 14, 0 0 2
1.619, 56.85, 18, 4 1 1
1.583, 58.28, 18, 3 3 1
1.416, 65.95, 17, 3 1 2

```
data_Lu2InCu2
_chemical_formula_sum 'Lu4 In2 Cu4'
_cell_length_a 7.5158
_cell_length_b 7.5158
_cell_length_c 3.5280
_cell_angle_alpha 90.00
_cell_angle_beta 90.00
_cell_angle_gamma 90.00
_symmetry_space_group_name_H-M 'P 4/m b m'
_symmetry_Int_Tables_number 127
_symmetry_space_group_name_Hall '-P 4 2ab'
loop_
_atom_site_label
_atom_site_fract_x
_atom_site_fract_y
_atom_site_fract_z
Lu1 0.1725 0.3275 0.0000
In1 0.0000 0.0000 0.5000
Cu1 0.1193 0.6193 0.5000
```

***

7.
# MgInCu4
Simulated X-ray diffraction stick pattern, Cu Kα. Input: a DFT-relaxed cell (PBE, the Materials Project).
Lines closer than 0.1° are merged.

The 10 most intense peaks (2θ from 15° to 90°), sorted by position:
d [Å], 2θ/deg, intensity, (hkl)
4.079, 21.79, 17, 1 1 1
3.532, 25.21, 14, 2 0 0
2.498, 35.96, 27, 2 2 0
2.130, 42.44, 100, 3 1 1
2.039, 44.42, 40, 2 2 2
1.580, 58.42, 5, 4 2 0
1.442, 64.63, 9, 4 2 2
1.360, 69.09, 29, 5 1 1
1.249, 76.24, 23, 4 4 0
1.117, 87.29, 4, 6 2 0

```
data_MgInCu4
_chemical_formula_sum 'Mg4 In4 Cu16'
_cell_length_a 7.0646
_cell_length_b 7.0646
_cell_length_c 7.0646
_cell_angle_alpha 90.00
_cell_angle_beta 90.00
_cell_angle_gamma 90.00
_symmetry_space_group_name_H-M 'F -4 3 m'
_symmetry_Int_Tables_number 216
_symmetry_space_group_name_Hall 'F -4 2 3'
loop_
_atom_site_label
_atom_site_fract_x
_atom_site_fract_y
_atom_site_fract_z
Mg1 0.0000 0.0000 0.0000
In1 0.2500 0.2500 0.2500
Cu1 0.1253 0.1253 0.6253
```

***

8.
# MnInCu
Simulated X-ray diffraction stick pattern, Cu Kα. Input: a DFT-relaxed cell (PBE, the Materials Project).
Lines closer than 0.1° are merged.

The 10 most intense peaks (2θ from 15° to 90°), sorted by position:
d [Å], 2θ/deg, intensity, (hkl)
2.628, 34.12, 55, 0 1 3
2.566, 34.97, 23, 0 2 0
2.283, 39.47, 37, 3 0 2
2.269, 39.72, 66, 3 1 1
2.203, 40.96, 30, 1 0 4
2.188, 41.27, 88, 2 1 3
2.153, 41.96, 100, 2 2 0
1.397, 67.01, 19, 2 3 3
1.314, 71.85, 21, 0 2 6
1.291, 73.36, 20, 5 2 2

```
data_MnInCu
_chemical_formula_sum 'Mn8 In8 Cu8'
_cell_length_a 7.8957
_cell_length_b 5.1317
_cell_length_c 9.1786
_cell_angle_alpha 90.00
_cell_angle_beta 90.00
_cell_angle_gamma 90.00
_symmetry_space_group_name_H-M 'A m m 2'
_symmetry_Int_Tables_number 38
_symmetry_space_group_name_Hall 'A 2 -2'
loop_
_atom_site_label
_atom_site_fract_x
_atom_site_fract_y
_atom_site_fract_z
Mn1 0.0000 0.0000 0.0000
Mn2 0.0000 0.2464 0.7521
Mn3 0.5000 0.0000 0.3397
In1 0.1911 0.0000 0.5017
In2 0.3163 0.0000 0.8349
Cu1 0.2541 0.0000 0.1723
Cu2 0.5000 0.2468 0.5850
```